1.
Simulated powder XRD pattern of Pm4Nd2Sc for a wavelength of 1.5418 Å, from a DFT-relaxed cell (GGA-PBE, Alexandria).

Atomic structure:
```
data_Pm4Nd2Sc
_chemical_formula_sum 'Pm8 Nd4 Sc2'
_cell_length_a 7.104
_cell_length_b 8.649
_cell_length_c 8.880
_cell_angle_alpha 61.09
_cell_angle_beta 89.94
_cell_angle_gamma 78.22
_symmetry_space_group_name_H-M 'P 1'
_symmetry_Int_Tables_number 1
loop_
_symmetry_equiv_pos_as_xyz
'x,y,z'
loop_
_atom_site_label
_atom_site_type_symbol
_atom_site_fract_x
_atom_site_fract_y
_atom_site_fract_z
_atom_site_occupancy
Pm1 Pm 0.000 0.000 0.000 1
Pm2 Pm 0.029 0.881 0.446 1
Pm3 Pm 0.139 0.438 0.720 1
Pm4 Pm 0.321 0.713 0.863 1
Pm5 Pm 0.496 0.001 0.997 1
Pm6 Pm 0.639 0.438 0.721 1
Pm7 Pm 0.710 0.152 0.584 1
Pm8 Pm 0.852 0.586 0.299 1
Nd1 Nd 0.170 0.312 0.144 1
Nd2 Nd 0.211 0.164 0.574 1
Nd3 Nd 0.529 0.882 0.442 1
Nd4 Nd 0.672 0.307 0.149 1
Sc1 Sc 0.354 0.579 0.314 1
Sc2 Sc 0.821 0.707 0.855 1
```

Main lines, by angle (2θ from 5° to 70°):
2θ/deg  d [Å]  I (rel.)
29.83  2.995  30
31.03  2.882  100
31.11  2.875  19
32.36  2.766  36
32.73  2.736  33
47.58  1.911  14
51.46  1.776  12
61.27  1.513  12
61.35  1.511  12
62.11  1.494  11

2.
Simulated powder XRD pattern of Pm3NdSc7 for a wavelength of 1.5418 Å, from a DFT-relaxed cell (GGA-PBE, Alexandria).

Atomic structure:
```
data_Pm3NdSc7
_chemical_formula_sum 'Pm3 Nd1 Sc7'
_cell_length_a 8.057
_cell_length_b 8.057
_cell_length_c 5.512
_cell_angle_alpha 109.94
_cell_angle_beta 109.94
_cell_angle_gamma 82.21
_symmetry_space_group_name_H-M 'P 1'
_symmetry_Int_Tables_number 1
loop_
_symmetry_equiv_pos_as_xyz
'x,y,z'
loop_
_atom_site_label
_atom_site_type_symbol
_atom_site_fract_x
_atom_site_fract_y
_atom_site_fract_z
_atom_site_occupancy
Pm1 Pm 0.000 0.000 0.000 1
Pm2 Pm 0.214 0.786 0.500 1
Pm3 Pm 0.786 0.214 0.500 1
Nd1 Nd 0.500 0.500 0.000 1
Sc1 Sc 0.033 0.409 0.221 1
Sc2 Sc 0.207 0.207 0.706 1
Sc3 Sc 0.409 0.033 0.221 1
Sc4 Sc 0.500 0.500 0.500 1
Sc5 Sc 0.591 0.967 0.779 1
Sc6 Sc 0.793 0.793 0.294 1
Sc7 Sc 0.967 0.591 0.779 1
```

Main lines, by angle (2θ from 5° to 70°):
2θ/deg  d [Å]  I (rel.)
16.37  5.413  44
24.72  3.602  100
32.49  2.756  47
33.10  2.707  36
33.84  2.649  20
34.18  2.623  84
34.41  2.606  43
47.06  1.931  26
59.05  1.564  17
59.21  1.560  21

3.
Simulated powder XRD pattern of PmNd8Sc2 for a wavelength of 1.5418 Å, from a DFT-relaxed cell (GGA-PBE, Alexandria).

Atomic structure:
```
data_PmNd8Sc2
_chemical_formula_sum 'Pm1 Nd8 Sc2'
_cell_length_a 9.370
_cell_length_b 9.370
_cell_length_c 9.370
_cell_angle_alpha 145.56
_cell_angle_beta 126.40
_cell_angle_gamma 65.28
_symmetry_space_group_name_H-M 'P 1'
_symmetry_Int_Tables_number 1
loop_
_symmetry_equiv_pos_as_xyz
'x,y,z'
loop_
_atom_site_label
_atom_site_type_symbol
_atom_site_fract_x
_atom_site_fract_y
_atom_site_fract_z
_atom_site_occupancy
Pm1 Pm 0.000 0.000 0.000 1
Nd1 Nd 0.153 0.856 0.297 1
Nd2 Nd 0.162 0.662 0.500 1
Nd3 Nd 0.301 0.500 0.801 1
Nd4 Nd 0.441 0.144 0.297 1
Nd5 Nd 0.559 0.856 0.703 1
Nd6 Nd 0.699 0.500 0.199 1
Nd7 Nd 0.838 0.338 0.500 1
Nd8 Nd 0.847 0.144 0.703 1
Sc1 Sc 0.300 0.300 0.000 1
Sc2 Sc 0.700 0.700 0.000 1
```

Main lines, by angle (2θ from 5° to 70°):
2θ/deg  d [Å]  I (rel.)
22.23  3.998  19
29.73  3.005  30
31.59  2.832  100
32.28  2.773  54
34.09  2.630  19
46.30  1.961  16
47.65  1.909  15
51.95  1.760  13
57.12  1.613  18
62.07  1.495  19

4.
Simulated powder XRD pattern of PmNd14Sc for a wavelength of 1.5418 Å, from a DFT-relaxed cell (GGA-PBE, Alexandria).

Atomic structure:
```
data_PmNd14Sc
_chemical_formula_sum 'Pm1 Nd14 Sc1'
_cell_length_a 7.308
_cell_length_b 7.308
_cell_length_c 10.324
_cell_angle_alpha 90.00
_cell_angle_beta 90.00
_cell_angle_gamma 90.00
_symmetry_space_group_name_H-M 'P 1'
_symmetry_Int_Tables_number 1
loop_
_symmetry_equiv_pos_as_xyz
'x,y,z'
loop_
_atom_site_label
_atom_site_type_symbol
_atom_site_fract_x
_atom_site_fract_y
_atom_site_fract_z
_atom_site_occupancy
Pm1 Pm 0.000 0.000 0.000 1
Nd1 Nd 0.000 0.000 0.500 1
Nd2 Nd 0.000 0.500 0.000 1
Nd3 Nd 0.000 0.500 0.500 1
Nd4 Nd 0.253 0.253 0.246 1
Nd5 Nd 0.253 0.253 0.754 1
Nd6 Nd 0.253 0.747 0.246 1
Nd7 Nd 0.253 0.747 0.754 1
Nd8 Nd 0.500 0.000 0.000 1
Nd9 Nd 0.500 0.000 0.500 1
Nd10 Nd 0.500 0.500 0.500 1
Nd11 Nd 0.747 0.253 0.246 1
Nd12 Nd 0.747 0.253 0.754 1
Nd13 Nd 0.747 0.747 0.246 1
Nd14 Nd 0.747 0.747 0.754 1
Sc1 Sc 0.500 0.500 0.000 1
```

Main lines, by angle (2θ from 5° to 70°):
2θ/deg  d [Å]  I (rel.)
14.85  5.965  1
19.21  4.621  1
21.07  4.216  1
25.87  3.444  1
28.66  3.115  1
29.96  2.983  100
34.73  2.583  51
49.93  1.826  36
59.33  1.558  43
62.26  1.491  12

5.
Simulated powder XRD pattern of Pm8NdSc5 for a wavelength of 1.5418 Å, from a DFT-relaxed cell (GGA-PBE, Alexandria).

Atomic structure:
```
data_Pm8NdSc5
_chemical_formula_sum 'Pm8 Nd1 Sc5'
_cell_length_a 8.177
_cell_length_b 8.283
_cell_length_c 8.485
_cell_angle_alpha 113.16
_cell_angle_beta 99.13
_cell_angle_gamma 115.33
_symmetry_space_group_name_H-M 'P 1'
_symmetry_Int_Tables_number 1
loop_
_symmetry_equiv_pos_as_xyz
'x,y,z'
loop_
_atom_site_label
_atom_site_type_symbol
_atom_site_fract_x
_atom_site_fract_y
_atom_site_fract_z
_atom_site_occupancy
Pm1 Pm 0.000 0.000 0.000 1
Pm2 Pm 0.008 0.433 0.276 1
Pm3 Pm 0.410 0.746 0.790 1
Pm4 Pm 0.432 0.978 0.448 1
Pm5 Pm 0.579 0.397 0.852 1
Pm6 Pm 0.595 0.617 0.470 1
Pm7 Pm 0.722 0.904 0.245 1
Pm8 Pm 0.872 0.431 0.597 1
Nd1 Nd 0.069 0.688 0.060 1
Sc1 Sc 0.128 0.941 0.660 1
Sc2 Sc 0.207 0.230 0.471 1
Sc3 Sc 0.281 0.430 0.017 1
Sc4 Sc 0.480 0.168 0.130 1
Sc5 Sc 0.819 0.149 0.788 1
```

Main lines, by angle (2θ from 5° to 70°):
2θ/deg  d [Å]  I (rel.)
21.26  4.179  15
25.99  3.429  18
30.57  2.925  16
32.13  2.786  100
32.84  2.727  39
33.20  2.699  54
34.13  2.627  19
34.53  2.598  36
35.87  2.503  29
55.68  1.651  15

6.
Simulated powder XRD pattern of Pm6NdSc6 for a wavelength of 1.5418 Å, from a DFT-relaxed cell (GGA-PBE, Alexandria).

Atomic structure:
```
data_Pm6NdSc6
_chemical_formula_sum 'Pm6 Nd1 Sc6'
_cell_length_a 6.401
_cell_length_b 6.401
_cell_length_c 10.857
_cell_angle_alpha 90.00
_cell_angle_beta 90.00
_cell_angle_gamma 116.31
_symmetry_space_group_name_H-M 'P 1'
_symmetry_Int_Tables_number 1
loop_
_symmetry_equiv_pos_as_xyz
'x,y,z'
loop_
_atom_site_label
_atom_site_type_symbol
_atom_site_fract_x
_atom_site_fract_y
_atom_site_fract_z
_atom_site_occupancy
Pm1 Pm 0.000 0.000 0.169 1
Pm2 Pm 0.000 0.000 0.831 1
Pm3 Pm 0.289 0.711 0.000 1
Pm4 Pm 0.353 0.647 0.500 1
Pm5 Pm 0.647 0.353 0.500 1
Pm6 Pm 0.711 0.289 0.000 1
Nd1 Nd 0.000 0.000 0.500 1
Sc1 Sc 0.000 0.500 0.270 1
Sc2 Sc 0.000 0.500 0.730 1
Sc3 Sc 0.500 0.000 0.270 1
Sc4 Sc 0.500 0.000 0.730 1
Sc5 Sc 0.500 0.500 0.215 1
Sc6 Sc 0.500 0.500 0.785 1
```

Main lines, by angle (2θ from 5° to 70°):
2θ/deg  d [Å]  I (rel.)
26.39  3.377  75
27.93  3.194  100
29.65  3.013  70
31.19  2.868  66
32.52  2.753  59
32.98  2.716  51
35.39  2.537  58
40.11  2.248  42
57.78  1.596  40
58.63  1.574  32

7.
Simulated powder XRD pattern of PmNd5Sc3 for a wavelength of 1.5418 Å, from a DFT-relaxed cell (GGA-PBE, Alexandria).

Atomic structure:
```
data_PmNd5Sc3
_chemical_formula_sum 'Pm2 Nd10 Sc6'
_cell_length_a 9.372
_cell_length_b 9.372
_cell_length_c 9.665
_cell_angle_alpha 120.34
_cell_angle_beta 120.34
_cell_angle_gamma 75.50
_symmetry_space_group_name_H-M 'P 1'
_symmetry_Int_Tables_number 1
loop_
_symmetry_equiv_pos_as_xyz
'x,y,z'
loop_
_atom_site_label
_atom_site_type_symbol
_atom_site_fract_x
_atom_site_fract_y
_atom_site_fract_z
_atom_site_occupancy
Pm1 Pm 0.225 0.225 0.049 1
Pm2 Pm 0.775 0.775 0.951 1
Nd1 Nd 0.119 0.613 0.264 1
Nd2 Nd 0.252 0.252 0.416 1
Nd3 Nd 0.253 0.747 0.000 1
Nd4 Nd 0.270 0.270 0.765 1
Nd5 Nd 0.387 0.881 0.736 1
Nd6 Nd 0.613 0.119 0.264 1
Nd7 Nd 0.730 0.730 0.235 1
Nd8 Nd 0.747 0.253 0.000 1
Nd9 Nd 0.748 0.748 0.584 1
Nd10 Nd 0.881 0.387 0.736 1
Sc1 Sc 0.000 0.000 0.000 1
Sc2 Sc 0.012 0.012 0.353 1
Sc3 Sc 0.494 0.494 0.176 1
Sc4 Sc 0.500 0.500 0.500 1
Sc5 Sc 0.506 0.506 0.824 1
Sc6 Sc 0.988 0.988 0.647 1
```

Main lines, by angle (2θ from 5° to 70°):
2θ/deg  d [Å]  I (rel.)
15.50  5.717  27
21.98  4.044  74
28.97  3.083  47
29.54  3.024  60
31.18  2.869  100
32.67  2.741  88
33.11  2.705  52
35.15  2.553  62
39.66  2.273  41
40.06  2.251  30

8.
Simulated powder XRD pattern of Pm8NdSc2 for a wavelength of 1.5418 Å, from a DFT-relaxed cell (GGA-PBE, Alexandria).

Atomic structure:
```
data_Pm8NdSc2
_chemical_formula_sum 'Pm8 Nd1 Sc2'
_cell_length_a 9.328
_cell_length_b 9.328
_cell_length_c 5.522
_cell_angle_alpha 107.15
_cell_angle_beta 107.15
_cell_angle_gamma 53.42
_symmetry_space_group_name_H-M 'P 1'
_symmetry_Int_Tables_number 1
loop_
_symmetry_equiv_pos_as_xyz
'x,y,z'
loop_
_atom_site_label
_atom_site_type_symbol
_atom_site_fract_x
_atom_site_fract_y
_atom_site_fract_z
_atom_site_occupancy
Pm1 Pm 0.059 0.653 0.356 1
Pm2 Pm 0.199 0.801 0.000 1
Pm3 Pm 0.338 0.338 0.838 1
Pm4 Pm 0.347 0.941 0.644 1
Pm5 Pm 0.653 0.059 0.356 1
Pm6 Pm 0.662 0.662 0.162 1
Pm7 Pm 0.801 0.199 0.000 1
Pm8 Pm 0.941 0.347 0.644 1
Nd1 Nd 0.500 0.500 0.500 1
Sc1 Sc 0.200 0.200 0.199 1
Sc2 Sc 0.800 0.800 0.801 1
```

Main lines, by angle (2θ from 5° to 70°):
2θ/deg  d [Å]  I (rel.)
22.35  3.978  19
29.86  2.993  29
31.77  2.817  100
32.43  2.761  33
32.54  2.752  21
34.20  2.622  19
46.60  1.949  15
47.84  1.901  15
57.43  1.604  21
62.51  1.486  14

What did the fourth record say?
Simulated powder XRD pattern of PmNd14Sc for a wavelength of 1.5418 Å, from a DFT-relaxed cell (GGA-PBE, Alexandria).

Atomic structure:
```
data_PmNd14Sc
_chemical_formula_sum 'Pm1 Nd14 Sc1'
_cell_length_a 7.308
_cell_length_b 7.308
_cell_length_c 10.324
_cell_angle_alpha 90.00
_cell_angle_beta 90.00
_cell_angle_gamma 90.00
_symmetry_space_group_name_H-M 'P 1'
_symmetry_Int_Tables_number 1
loop_
_symmetry_equiv_pos_as_xyz
'x,y,z'
loop_
_atom_site_label
_atom_site_type_symbol
_atom_site_fract_x
_atom_site_fract_y
_atom_site_fract_z
_atom_site_occupancy
Pm1 Pm 0.000 0.000 0.000 1
Nd1 Nd 0.000 0.000 0.500 1
Nd2 Nd 0.000 0.500 0.000 1
Nd3 Nd 0.000 0.500 0.500 1
Nd4 Nd 0.253 0.253 0.246 1
Nd5 Nd 0.253 0.253 0.754 1
Nd6 Nd 0.253 0.747 0.246 1
Nd7 Nd 0.253 0.747 0.754 1
Nd8 Nd 0.500 0.000 0.000 1
Nd9 Nd 0.500 0.000 0.500 1
Nd10 Nd 0.500 0.500 0.500 1
Nd11 Nd 0.747 0.253 0.246 1
Nd12 Nd 0.747 0.253 0.754 1
Nd13 Nd 0.747 0.747 0.246 1
Nd14 Nd 0.747 0.747 0.754 1
Sc1 Sc 0.500 0.500 0.000 1
```

Main lines, by angle (2θ from 5° to 70°):
2θ/deg  d [Å]  I (rel.)
14.85  5.965  1
19.21  4.621  1
21.07  4.216  1
25.87  3.444  1
28.66  3.115  1
29.96  2.983  100
34.73  2.583  51
49.93  1.826  36
59.33  1.558  43
62.26  1.491  12